Theoretical X-ray diffraction stick pattern
Compound: SmTh2PdN4
Radiation: Cu Kα (λ = 1.5418 Å)
Structure: a cell relaxed with PBE
Neutral-atom scattering factors, no anomalous dispersion.

The 10 most intense peaks (2θ = 10–90°), in order of rising 2θ:
26.53°, d = 3.359 Å, I 84, (0 2 3); 29.75°, d = 3.003 Å, I 71, (0 4 0); 30.08°, d = 2.971 Å, I 100, (1 1 2); 34.40°, d = 2.607 Å, I 30, (1 1 3); 36.92°, d = 2.435 Å, I 87, (1 3 2); 40.01°, d = 2.254 Å, I 26, (0 2 5); 45.86°, d = 1.979 Å, I 27, (1 1 5); 48.11°, d = 1.891 Å, I 27, (1 5 2); 50.89°, d = 1.794 Å, I 40, (0 6 3); 51.13°, d = 1.786 Å, I 23, (1 5 3)

a = 3.5516 Å, b = 12.0137 Å, c = 12.1567 Å
α = 90.00°, β = 90.00°, γ = 90.00°
Space group Cmcm (No. 63)
Inequivalent atoms, fractional coordinates:
Sm  0.0000  0.1149  0.2500 (multiplicity 4)
Th  0.0000  0.3707  0.0572 (multiplicity 8)
Pd  0.0000  0.1460  0.7500 (multiplicity 4)
N  0.0000  0.0000  0.0000 (multiplicity 4)
N  0.0000  0.2729  0.6139 (multiplicity 8)
N  0.0000  0.4657  0.2500 (multiplicity 4)